Entry 1:
This entry pairs a crystal structure of GdYNi2B2N2 with its computed powder diffraction line list. Radiation: CuKα. Structure: a crystal structure in OQMD, relaxed with GGA-PBE.
Peak positions follow from Bragg's law for the DFT cell and can differ from measured ones.

Main lines, by angle (2θ from 15° to 90°):
2θ 28.00, 3.186 Å, rel. 100, (1 0 1)
2θ 34.93, 2.569 Å, rel. 71, (1 0 2)
2θ 35.82, 2.507 Å, rel. 61, (0 0 3)
2θ 38.11, 2.361 Å, rel. 96, (1 1 1)
2θ 43.63, 2.075 Å, rel. 71, (1 1 2)
2θ 52.00, 1.759 Å, rel. 47, (2 0 0)
2θ 60.09, 1.540 Å, rel. 26, (2 1 1)
2θ 64.75, 1.440 Å, rel. 40, (2 0 3)

Crystal structure
Cell lengths 3.517, 3.517, 7.521 Å; angles 90.00, 90.00, 90.00 degrees
Atoms (fractional coordinates):
Gd (0.000, 0.000, 0.000)
Y (0.500, 0.500, 0.663)
Ni (0.000, 0.500, 0.331)
Ni (0.500, 0.000, 0.331)
B (0.000, 0.000, 0.490)
B (0.500, 0.500, 0.172)
N (0.000, 0.000, 0.684)
N (0.500, 0.500, 0.978)



Entry 2:
This entry pairs a crystal structure of BaTe2Pd2F2 with its computed powder diffraction line list. Radiation: CuKα. Structure: a crystal structure in OQMD, relaxed with GGA-PBE.
Peak positions follow from Bragg's law for the DFT cell and can differ from measured ones.

Main lines, by angle (2θ from 15° to 90°):
2θ 25.17, 3.539 Å, rel. 27, (1 0 1)
2θ 25.84, 3.448 Å, rel. 42, (0 0 3)
2θ 29.34, 3.044 Å, rel. 34, (1 0 2)
2θ 34.77, 2.580 Å, rel. 39, (1 1 1)
2θ 35.29, 2.543 Å, rel. 53, (1 0 3)
2θ 38.01, 2.368 Å, rel. 100, (1 1 2)
2θ 48.33, 1.883 Å, rel. 42, (2 0 0)
2θ 50.32, 1.813 Å, rel. 38, (1 0 5)

Crystal structure
Cell lengths 3.766, 3.766, 10.344 Å; angles 90.00, 90.00, 90.00 degrees
Atoms (fractional coordinates):
Ba (0.000, 0.000, 0.000)
Te (0.000, 0.500, 0.267)
Te (0.500, 0.000, 0.733)
Pd (0.000, 0.500, 0.653)
Pd (0.500, 0.000, 0.347)
F (0.000, 0.000, 0.500)
F (0.500, 0.500, 0.500)



Entry 3:
This entry pairs a crystal structure of ErPu3Te4 with its computed powder diffraction line list. Radiation: CuKα. Structure: a crystal structure in OQMD, relaxed with GGA-PBE.
Peak positions follow from Bragg's law for the DFT cell and can differ from measured ones.

Main lines, by angle (2θ from 15° to 90°):
2θ 24.74, 3.599 Å, rel. 14, (2 2 0)
2θ 28.64, 3.117 Å, rel. 100, (2 0 1)
2θ 40.95, 2.204 Å, rel. 77, (2 4 1)
2θ 48.43, 1.880 Å, rel. 8, (4 2 1)
2θ 50.73, 1.800 Å, rel. 28, (0 4 2)
2θ 59.29, 1.559 Å, rel. 13, (4 0 2)
2θ 67.15, 1.394 Å, rel. 36, (2 0 3)
2θ 74.58, 1.273 Å, rel. 27, (2 4 3)

Crystal structure
Cell lengths 8.823, 12.463, 4.406 Å; angles 90.00, 90.00, 90.00 degrees
Atoms (fractional coordinates):
Er (0.000, 0.000, 0.000)
Er (0.500, 0.500, 0.000)
Pu (0.000, 0.500, 0.000)
Pu (0.250, 0.250, 0.500)
Pu (0.250, 0.750, 0.500)
Pu (0.500, 0.000, 0.000)
Pu (0.750, 0.250, 0.500)
Pu (0.750, 0.750, 0.500)
Te (0.000, 0.247, 0.000)
Te (0.000, 0.753, 0.000)
Te (0.245, 0.000, 0.500)
Te (0.255, 0.500, 0.500)
Te (0.500, 0.253, 0.000)
Te (0.500, 0.747, 0.000)
Te (0.745, 0.500, 0.500)
Te (0.755, 0.000, 0.500)